1.
Calculated X-ray diffraction stick pattern of GaNi7B5 for Cu Kα, from a structure optimized by DFT (PBE).
Neutral-atom scattering factors, no anomalous dispersion.

Crystal structure
```
data_GaNi7B5
_chemical_formula_sum 'Ga2 Ni14 B10'
_cell_length_a 4.141
_cell_length_b 7.308
_cell_length_c 7.754
_cell_angle_alpha 90.00
_cell_angle_beta 90.00
_cell_angle_gamma 90.00
_symmetry_space_group_name_H-M 'I m m 2'
_symmetry_Int_Tables_number 44
loop_
_symmetry_equiv_pos_as_xyz
'x,y,z'
'-x,-y,z'
'-x,y,z'
'x,-y,z'
'x+1/2,y+1/2,z+1/2'
'-x+1/2,-y+1/2,z+1/2'
'-x+1/2,y+1/2,z+1/2'
'x+1/2,-y+1/2,z+1/2'
loop_
_atom_site_label
_atom_site_fract_x
_atom_site_fract_y
_atom_site_fract_z
Ga1 0.000 0.000 0.000
Ni1 0.000 0.000 0.358
Ni2 0.000 0.000 0.673
Ni3 0.000 0.328 0.589
Ni4 0.000 0.336 0.022
Ni5 0.000 0.500 0.317
B1 0.000 0.500 0.801
B2 0.236 0.253 0.300
```

Most intense lines, 10 to 80 degrees two-theta, in order of falling intensity:
41.2 deg, 2.193 Å, intensity 100, hkl 1 0 3
43.1 deg, 2.100 Å, intensity 87, hkl 1 3 0
49.4 deg, 1.846 Å, intensity 76, hkl 1 3 2
43.7 deg, 2.071 Å, intensity 70, hkl 2 0 0
48.4 deg, 1.880 Å, intensity 32, hkl 1 2 3
22.9 deg, 3.877 Å, intensity 30, hkl 0 0 2
78.5 deg, 1.218 Å, intensity 29, hkl 0 6 0
33.7 deg, 2.659 Å, intensity 28, hkl 0 2 2
56.3 deg, 1.634 Å, intensity 25, hkl 2 2 2
51.6 deg, 1.773 Å, intensity 25, hkl 0 3 3

---

2.
Calculated X-ray diffraction stick pattern of GaNi9B8 for Cu Kα, from a structure optimized by DFT (PBE).
Neutral-atom scattering factors, no anomalous dispersion.

Crystal structure
```
data_GaNi9B8
_chemical_formula_sum 'Ga4 Ni36 B32'
_cell_length_a 7.139
_cell_length_b 8.131
_cell_length_c 10.783
_cell_angle_alpha 90.00
_cell_angle_beta 90.00
_cell_angle_gamma 90.00
_symmetry_space_group_name_H-M 'C m c m'
_symmetry_Int_Tables_number 63
_symmetry_space_group_name_Hall '-C 2c 2'
loop_
_atom_site_label
_atom_site_fract_x
_atom_site_fract_y
_atom_site_fract_z
Ga1 0.000 0.088 0.250
Ni1 0.000 0.000 0.000
Ni2 0.000 0.291 0.082
Ni3 0.191 0.430 0.614
Ni4 0.221 0.170 0.750
B1 0.000 0.221 0.619
B2 0.000 0.351 0.750
B3 0.000 0.436 0.250
B4 0.211 0.172 0.551
```

Most intense lines, 10 to 80 degrees two-theta, in order of falling intensity:
42.0 deg, 2.150 Å, intensity 100, hkl 2 2 3
47.8 deg, 1.901 Å, intensity 67, hkl 2 2 4
45.4 deg, 1.998 Å, intensity 57, hkl 0 4 1
37.3 deg, 2.409 Å, intensity 55, hkl 1 1 4
40.4 deg, 2.234 Å, intensity 42, hkl 3 1 1
43.7 deg, 2.071 Å, intensity 40, hkl 1 3 3
39.5 deg, 2.284 Å, intensity 31, hkl 3 1 0
54.6 deg, 1.680 Å, intensity 21, hkl 2 2 5
51.2 deg, 1.785 Å, intensity 20, hkl 4 0 0
76.4 deg, 1.247 Å, intensity 19, hkl 5 1 4

---

3.
Calculated X-ray diffraction stick pattern of Th2GaNi12B3 for Cu Kα, from a structure optimized by DFT (PBE).
Neutral-atom scattering factors, no anomalous dispersion.

Crystal structure
```
data_Th2GaNi12B3
_chemical_formula_sum 'Th6 Ga3 Ni36 B9'
_cell_length_a 7.3480
_cell_length_b 7.3480
_cell_length_c 15.7606
_cell_angle_alpha 90.00
_cell_angle_beta 90.00
_cell_angle_gamma 120.00
_symmetry_space_group_name_H-M 'R -3 m'
_symmetry_Int_Tables_number 166
_symmetry_space_group_name_Hall '-R 3 2"'
loop_
_atom_site_label
_atom_site_fract_x
_atom_site_fract_y
_atom_site_fract_z
Th1 0.0000 0.0000 0.1103
Ga1 0.0000 0.0000 0.5000
Ni1 0.0058 0.5029 0.8797
Ni2 0.0659 0.5329 0.3434
B1 0.0000 0.5000 0.0000
```

Most intense lines, 10 to 80 degrees two-theta, in order of falling intensity:
36.3 deg, 2.475 Å, intensity 100, hkl 0 2 4
40.3 deg, 2.239 Å, intensity 63, hkl 2 0 5
49.6 deg, 1.837 Å, intensity 60, hkl 2 2 0
31.7 deg, 2.825 Å, intensity 35, hkl 0 1 5
29.7 deg, 3.011 Å, intensity 33, hkl 1 1 3
28.6 deg, 3.119 Å, intensity 32, hkl 0 2 1
24.2 deg, 3.674 Å, intensity 27, hkl 1 1 0
37.8 deg, 2.378 Å, intensity 27, hkl 2 1 1
74.9 deg, 1.268 Å, intensity 25, hkl 2 2 9
39.2 deg, 2.300 Å, intensity 25, hkl 1 2 2

---

4.
Calculated X-ray diffraction stick pattern of Y2GaNi12B3 for Cu Kα, from a structure optimized by DFT (PBE).
Neutral-atom scattering factors, no anomalous dispersion.

Crystal structure
```
data_Y2GaNi12B3
_chemical_formula_sum 'Y6 Ga3 Ni36 B9'
_cell_length_a 7.1013
_cell_length_b 7.1013
_cell_length_c 16.2056
_cell_angle_alpha 90.00
_cell_angle_beta 90.00
_cell_angle_gamma 120.00
_symmetry_space_group_name_H-M 'R -3 m'
_symmetry_Int_Tables_number 166
_symmetry_space_group_name_Hall '-R 3 2"'
loop_
_atom_site_label
_atom_site_fract_x
_atom_site_fract_y
_atom_site_fract_z
Y1 0.0000 0.0000 0.0956
Ga1 0.0000 0.0000 0.5000
Ni1 0.0379 0.5189 0.8815
Ni2 0.0694 0.5347 0.3099
B1 0.0000 0.5000 0.0000
```

Most intense lines, 10 to 80 degrees two-theta, in order of falling intensity:
40.4 deg, 2.232 Å, intensity 100, hkl 2 0 5
51.5 deg, 1.775 Å, intensity 28, hkl 2 2 0
36.7 deg, 2.449 Å, intensity 18, hkl 0 2 4
41.7 deg, 2.167 Å, intensity 17, hkl 1 0 7
29.6 deg, 3.021 Å, intensity 13, hkl 0 2 1
79.6 deg, 1.205 Å, intensity 12, hkl 3 2 7
47.4 deg, 1.917 Å, intensity 12, hkl 0 3 3
65.1 deg, 1.434 Å, intensity 10, hkl 0 2 10
67.4 deg, 1.389 Å, intensity 8, hkl 0 4 5
78.7 deg, 1.216 Å, intensity 6, hkl 5 0 2

---

5.
Calculated X-ray diffraction stick pattern of NpGa3B4O12 for Cu Kα, from a structure optimized by DFT (PBE).
Neutral-atom scattering factors, no anomalous dispersion.

Crystal structure
```
data_NpGa3B4O12
_chemical_formula_sum 'Np3 Ga9 B12 O36'
_cell_length_a 9.6096
_cell_length_b 9.6096
_cell_length_c 7.6212
_cell_angle_alpha 90.00
_cell_angle_beta 90.00
_cell_angle_gamma 120.00
_symmetry_space_group_name_H-M 'R 3 2'
_symmetry_Int_Tables_number 155
_symmetry_space_group_name_Hall 'R 3 2"'
loop_
_atom_site_label
_atom_site_fract_x
_atom_site_fract_y
_atom_site_fract_z
Np1 0.0000 0.0000 0.0000
Ga1 0.0000 0.5514 0.0000
B1 0.0000 0.0000 0.5000
B2 0.0000 0.4452 0.5000
O1 0.0000 0.5905 0.5000
O2 0.0000 0.8550 0.5000
O3 0.0273 0.2154 0.1871
```

Most intense lines, 10 to 80 degrees two-theta, in order of falling intensity:
24.4 deg, 3.652 Å, intensity 100, hkl 0 2 1
31.8 deg, 2.810 Å, intensity 97, hkl 2 0 2
15.8 deg, 5.621 Å, intensity 48, hkl 1 0 1
18.5 deg, 4.805 Å, intensity 35, hkl 1 1 0
30.8 deg, 2.908 Å, intensity 33, hkl 2 1 1
52.4 deg, 1.746 Å, intensity 31, hkl 2 2 3
37.4 deg, 2.402 Å, intensity 30, hkl 2 2 0
37.1 deg, 2.426 Å, intensity 24, hkl 1 2 2
52.8 deg, 1.732 Å, intensity 21, hkl 0 2 4
46.0 deg, 1.974 Å, intensity 19, hkl 3 1 2

---

6.
Calculated X-ray diffraction stick pattern of Ga2B3O8 for Cu Kα, from a structure optimized by DFT (PBE).
Neutral-atom scattering factors, no anomalous dispersion.

Crystal structure
```
data_Ga2B3O8
_chemical_formula_sum 'Ga16 B24 O64'
_cell_length_a 10.549
_cell_length_b 7.546
_cell_length_c 10.769
_cell_angle_alpha 90.00
_cell_angle_beta 90.00
_cell_angle_gamma 90.00
_symmetry_space_group_name_H-M 'C m c e'
_symmetry_Int_Tables_number 64
_symmetry_space_group_name_Hall '-C 2ac 2'
loop_
_atom_site_label
_atom_site_fract_x
_atom_site_fract_y
_atom_site_fract_z
Ga1 0.000 0.206 0.132
Ga2 0.148 0.000 0.500
B1 0.125 0.150 0.868
B2 0.250 0.102 0.250
O1 0.000 0.041 0.612
O2 0.000 0.055 0.855
O3 0.129 0.238 0.988
O4 0.136 0.216 0.266
O5 0.228 0.014 0.861
```

Most intense lines, 10 to 80 degrees two-theta, in order of falling intensity:
28.8 deg, 3.096 Å, intensity 100, hkl 1 1 3
48.3 deg, 1.885 Å, intensity 98, hkl 4 0 4
37.7 deg, 2.385 Å, intensity 77, hkl 1 3 1
32.6 deg, 2.743 Å, intensity 75, hkl 3 1 2
22.0 deg, 4.048 Å, intensity 62, hkl 1 1 2
29.2 deg, 3.056 Å, intensity 53, hkl 3 1 1
51.4 deg, 1.778 Å, intensity 47, hkl 3 3 3
29.1 deg, 3.069 Å, intensity 45, hkl 2 2 0
37.5 deg, 2.398 Å, intensity 37, hkl 2 0 4
70.7 deg, 1.333 Å, intensity 28, hkl 4 4 4

---

7.
Calculated X-ray diffraction stick pattern of GaB6O6 for Cu Kα, from a structure optimized by DFT (PBE).
Neutral-atom scattering factors, no anomalous dispersion.

Crystal structure
```
data_GaB6O6
_chemical_formula_sum 'Ga2 B12 O12'
_cell_length_a 6.359
_cell_length_b 10.522
_cell_length_c 4.908
_cell_angle_alpha 90.00
_cell_angle_beta 106.07
_cell_angle_gamma 90.00
_symmetry_space_group_name_H-M 'C 1 2/m 1'
_symmetry_Int_Tables_number 12
loop_
_symmetry_equiv_pos_as_xyz
'x,y,z'
'-x,-y,-z'
'-x,y,-z'
'x,-y,z'
'x+1/2,y+1/2,z'
'-x+1/2,-y+1/2,-z'
'-x+1/2,y+1/2,-z'
'x+1/2,-y+1/2,z'
loop_
_atom_site_label
_atom_site_fract_x
_atom_site_fract_y
_atom_site_fract_z
Ga1 0.000 0.000 0.000
B1 0.123 0.500 0.184
B2 0.158 0.296 0.074
O1 0.110 0.500 0.855
O2 0.236 0.381 0.290
```

Most intense lines, 10 to 80 degrees two-theta, in order of falling intensity:
18.8 deg, 4.716 Å, intensity 100, hkl 0 0 1
16.8 deg, 5.263 Å, intensity 95, hkl 0 2 0
32.8 deg, 2.734 Å, intensity 49, hkl 1 3 -1
28.2 deg, 3.163 Å, intensity 45, hkl 1 1 1
25.4 deg, 3.512 Å, intensity 35, hkl 0 2 1
39.2 deg, 2.297 Å, intensity 32, hkl 0 4 1
45.3 deg, 2.001 Å, intensity 31, hkl 3 1 0
37.9 deg, 2.376 Å, intensity 31, hkl 1 1 -2
44.1 deg, 2.053 Å, intensity 30, hkl 3 1 -1
45.5 deg, 1.993 Å, intensity 25, hkl 2 4 0

---

8.
Calculated X-ray diffraction stick pattern of Ga3BO6 for Cu Kα, from a structure optimized by DFT (PBE).
Neutral-atom scattering factors, no anomalous dispersion.

Crystal structure
```
data_Ga3BO6
_chemical_formula_sum 'Ga12 B4 O24'
_cell_length_a 7.837
_cell_length_b 10.444
_cell_length_c 4.701
_cell_angle_alpha 90.00
_cell_angle_beta 90.00
_cell_angle_gamma 90.00
_symmetry_space_group_name_H-M 'C m c 21'
_symmetry_Int_Tables_number 36
loop_
_symmetry_equiv_pos_as_xyz
'x,y,z'
'-x,-y,z+1/2'
'-x,y,z'
'x,-y,z+1/2'
'x+1/2,y+1/2,z'
'-x+1/2,-y+1/2,z+1/2'
'-x+1/2,y+1/2,z'
'x+1/2,-y+1/2,z+1/2'
loop_
_atom_site_label
_atom_site_fract_x
_atom_site_fract_y
_atom_site_fract_z
Ga1 0.000 0.088 0.000
Ga2 0.195 0.387 0.904
B1 0.000 0.298 0.335
O1 0.000 0.319 0.640
O2 0.000 0.418 0.154
O3 0.147 0.223 0.211
O4 0.168 0.034 0.714
```

Most intense lines, 10 to 80 degrees two-theta, in order of falling intensity:
34.4 deg, 2.608 Å, intensity 100, hkl 2 2 1
34.0 deg, 2.635 Å, intensity 44, hkl 1 3 1
23.7 deg, 3.761 Å, intensity 26, hkl 1 1 1
53.1 deg, 1.723 Å, intensity 25, hkl 3 1 2
25.5 deg, 3.494 Å, intensity 25, hkl 0 2 1
56.4 deg, 1.632 Å, intensity 22, hkl 3 5 0
52.4 deg, 1.747 Å, intensity 15, hkl 0 4 2
47.6 deg, 1.909 Å, intensity 15, hkl 3 3 1
68.6 deg, 1.367 Å, intensity 14, hkl 5 3 1
35.4 deg, 2.534 Å, intensity 12, hkl 3 1 0

---

9.
Calculated X-ray diffraction stick pattern of SmGa4B3O12 for Cu Kα, from a structure optimized by DFT (PBE).
Neutral-atom scattering factors, no anomalous dispersion.

Crystal structure
```
data_SmGa4B3O12
_chemical_formula_sum 'Sm2 Ga8 B6 O24'
_cell_length_a 7.109
_cell_length_b 7.109
_cell_length_c 7.109
_cell_angle_alpha 90.00
_cell_angle_beta 90.00
_cell_angle_gamma 90.00
_symmetry_space_group_name_H-M 'I m -3'
_symmetry_Int_Tables_number 204
_symmetry_space_group_name_Hall '-I 2 2 3'
loop_
_atom_site_label
_atom_site_fract_x
_atom_site_fract_y
_atom_site_fract_z
Sm1 0.000 0.000 0.000
Ga1 0.250 0.250 0.250
B1 0.000 0.000 0.500
O1 0.000 0.156 0.334
```

Most intense lines, 10 to 80 degrees two-theta, in order of falling intensity:
35.7 deg, 2.514 Å, intensity 100, hkl 2 2 0
64.2 deg, 1.451 Å, intensity 49, hkl 4 2 2
17.6 deg, 5.027 Å, intensity 48, hkl 1 1 0
40.1 deg, 2.248 Å, intensity 33, hkl 3 1 0
47.9 deg, 1.900 Å, intensity 31, hkl 3 2 1
30.8 deg, 2.902 Å, intensity 22, hkl 2 1 1
51.4 deg, 1.777 Å, intensity 20, hkl 4 0 0
67.1 deg, 1.394 Å, intensity 14, hkl 4 1 3
75.7 deg, 1.257 Å, intensity 11, hkl 4 4 0
25.1 deg, 3.555 Å, intensity 8, hkl 2 0 0

---

10.
Calculated X-ray diffraction stick pattern of SrGa4B3O12 for Cu Kα, from a structure optimized by DFT (PBE).
Neutral-atom scattering factors, no anomalous dispersion.

Crystal structure
```
data_SrGa4B3O12
_chemical_formula_sum 'Sr2 Ga8 B6 O24'
_cell_length_a 7.148
_cell_length_b 7.148
_cell_length_c 7.148
_cell_angle_alpha 90.00
_cell_angle_beta 90.00
_cell_angle_gamma 90.00
_symmetry_space_group_name_H-M 'I m -3'
_symmetry_Int_Tables_number 204
_symmetry_space_group_name_Hall '-I 2 2 3'
loop_
_atom_site_label
_atom_site_fract_x
_atom_site_fract_y
_atom_site_fract_z
Sr1 0.000 0.000 0.000
Ga1 0.250 0.250 0.250
B1 0.000 0.000 0.500
O1 0.000 0.155 0.338
```

Most intense lines, 10 to 80 degrees two-theta, in order of falling intensity:
35.5 deg, 2.527 Å, intensity 100, hkl 2 2 0
63.8 deg, 1.459 Å, intensity 51, hkl 4 2 2
24.9 deg, 3.574 Å, intensity 26, hkl 2 0 0
39.9 deg, 2.260 Å, intensity 25, hkl 3 1 0
51.1 deg, 1.787 Å, intensity 19, hkl 4 0 0
57.7 deg, 1.598 Å, intensity 19, hkl 4 0 2
47.6 deg, 1.910 Å, intensity 19, hkl 3 2 1
17.5 deg, 5.055 Å, intensity 15, hkl 1 1 0
75.2 deg, 1.264 Å, intensity 10, hkl 4 4 0
66.7 deg, 1.402 Å, intensity 8, hkl 4 1 3